For Li4Ti3V2Co3O16, a cell relaxed with PBE+U gives the theoretical powder XRD pattern in this record (λ = 1.5418 Å (Cu Kα)).
Kinematic intensities with the Lorentz-polarization factor, no thermal factor.

Structure:
Cell: 5.891 5.909 9.668 Å, 89.42 89.86 60.55°
Space group P1 (No. 1)
Unique sites:
Li1 0.000 0.000 0.000 (multiplicity 1)
Li2 0.001 0.033 0.488 (multiplicity 1)
Li3 0.334 0.343 0.912 (multiplicity 1)
Li4 0.660 0.653 0.410 (multiplicity 1)
Ti1 0.632 0.146 0.239 (multiplicity 1)
Ti2 0.785 0.882 0.720 (multiplicity 1)
Ti3 0.831 0.364 0.733 (multiplicity 1)
V1 0.282 0.385 0.494 (multiplicity 1)
V2 0.669 0.662 0.006 (multiplicity 1)
Co1 0.163 0.171 0.210 (multiplicity 1)
Co2 0.178 0.654 0.214 (multiplicity 1)
Co3 0.342 0.838 0.715 (multiplicity 1)
O1 0.038 0.486 0.366 (multiplicity 1)
O2 0.165 0.674 0.590 (multiplicity 1)
O3 0.172 0.193 0.598 (multiplicity 1)
O4 0.349 0.320 0.113 (multiplicity 1)
O5 0.358 0.810 0.082 (multiplicity 1)
O6 0.472 0.011 0.343 (multiplicity 1)
O7 0.498 0.443 0.362 (multiplicity 1)
O8 0.527 0.974 0.848 (multiplicity 1)
O9 0.539 0.513 0.850 (multiplicity 1)
O10 0.662 0.180 0.605 (multiplicity 1)
O11 0.689 0.666 0.611 (multiplicity 1)
O12 0.815 0.833 0.090 (multiplicity 1)
O13 0.838 0.355 0.092 (multiplicity 1)
O14 0.966 0.531 0.843 (multiplicity 1)
O15 0.988 0.005 0.297 (multiplicity 1)
O16 0.994 0.012 0.808 (multiplicity 1)

Largest 6 diffraction maxima, in order of rising 2θ, 10 to 90 degrees two-theta:
2θ/deg	intensity	h k l
18.4	855	0 0 2
19.6	1000	1 0 -1
32.8	360	1 0 -3
36.2	359	2 0 -1
39.9	308	2 2 2
45.3	347	0 2 -3

---

For RbCaVTePdF, a cell relaxed with PBE+U gives the theoretical powder XRD pattern in this record (λ = 1.5418 Å (Cu Kα)).
Kinematic intensities with the Lorentz-polarization factor, no thermal factor.

Structure:
Cell: 4.1045 4.1045 33.4498 Å, 90.00 90.00 120.00°
Space group R3m (No. 160, hexagonal axes)
Unique sites:
Rb1 0.0000 0.0000 0.0000 (multiplicity 3)
Ca1 0.0000 0.0000 0.2155 (multiplicity 3)
V1 0.0000 0.0000 0.1081 (multiplicity 3)
Te1 0.0000 0.0000 0.4894 (multiplicity 3)
Pd1 0.0000 0.0000 0.7347 (multiplicity 3)
F1 0.0000 0.0000 0.9115 (multiplicity 3)

Largest 6 diffraction maxima, in order of rising 2θ, 10 to 90 degrees two-theta:
2θ/deg	intensity	h k l
27.3	1000	1 0 4
33.1	870	0 1 8
36.9	252	1 0 10
39.0	248	0 1 11
44.1	566	1 1 0
55.6	194	1 1 12

---

For KV3Cd4O12, a cell relaxed with PBE+U gives the theoretical powder XRD pattern in this record (λ = 1.5418 Å (Cu Kα)).
Kinematic intensities with the Lorentz-polarization factor, no thermal factor.

Structure:
Cell: 13.168 13.745 7.210 Å, 90.00 115.24 90.00°
Space group Cc (No. 9)
Unique sites:
K1 0.000 0.032 0.000 (multiplicity 4)
V1 0.233 0.113 0.887 (multiplicity 4)
V2 0.262 0.391 0.614 (multiplicity 4)
V3 0.499 0.203 0.499 (multiplicity 4)
Cd1 0.019 0.493 0.708 (multiplicity 4)
Cd2 0.220 0.157 0.398 (multiplicity 4)
Cd3 0.278 0.340 0.106 (multiplicity 4)
Cd4 0.497 0.235 0.992 (multiplicity 4)
O1 0.043 0.225 0.219 (multiplicity 4)
O2 0.095 0.382 0.978 (multiplicity 4)
O3 0.114 0.410 0.539 (multiplicity 4)
O4 0.159 0.171 0.650 (multiplicity 4)
O5 0.170 0.001 0.872 (multiplicity 4)
O6 0.211 0.180 0.071 (multiplicity 4)
O7 0.279 0.322 0.428 (multiplicity 4)
O8 0.328 0.499 0.127 (multiplicity 4)
O9 0.336 0.334 0.850 (multiplicity 4)
O10 0.380 0.103 0.962 (multiplicity 4)
O11 0.404 0.120 0.521 (multiplicity 4)
O12 0.454 0.275 0.281 (multiplicity 4)

Largest 6 diffraction maxima, in order of rising 2θ, 10 to 90 degrees two-theta:
2θ/deg	intensity	h k l
23.3	227	3 1 0
27.8	227	3 1 -2
30.0	1000	4 0 0
31.9	360	1 3 -2
32.1	182	1 1 2
47.3	163	3 3 2